1.
Simulated powder X-ray diffraction pattern of Gd3Ti2MnSi3 for Cu Kα (λ = 1.5418 Å), from a structure optimized by DFT (GGA-PBE).

Largest 12 diffraction maxima, low angle first, 2θ = 15–90°:
d = 3.431 Å, 2θ = 26.0°, I 100; d = 2.927 Å, 2θ = 30.5°, I 18; d = 2.506 Å, 2θ = 35.8°, I 29; d = 2.445 Å, 2θ = 36.8°, I 81; d = 2.408 Å, 2θ = 37.3°, I 68; d = 1.991 Å, 2θ = 45.6°, I 16; d = 1.877 Å, 2θ = 48.5°, I 20; d = 1.772 Å, 2θ = 51.6°, I 16; d = 1.716 Å, 2θ = 53.4°, I 20; d = 1.404 Å, 2θ = 66.6°, I 15; d = 1.285 Å, 2θ = 73.7°, I 12; d = 1.256 Å, 2θ = 75.7°, I 19

```
Gd3Ti2MnSi3
1.0
8.470 0.000 0.000
-4.235 7.335 0.000
0.000 0.000 5.854
Gd Ti Mn Si
6 4 2 6
Direct
0.000 0.298 0.250
0.000 0.702 0.750
0.298 0.000 0.250
0.298 0.298 0.750
0.702 0.000 0.750
0.702 0.702 0.250
0.333 0.667 0.000
0.333 0.667 0.500
0.667 0.333 0.000
0.667 0.333 0.500
0.000 0.000 0.000
0.000 0.000 0.500
0.000 0.370 0.750
0.000 0.630 0.250
0.370 0.000 0.750
0.370 0.370 0.250
0.630 0.000 0.250
0.630 0.630 0.750
```



2.
Simulated powder X-ray diffraction pattern of GdTmMn for Cu Kα (λ = 1.5418 Å), from a structure optimized by DFT (GGA-PBE).

Largest 12 diffraction maxima, low angle first, 2θ = 15–90°:
d = 3.335 Å, 2θ = 26.7°, I 41; d = 3.171 Å, 2θ = 28.1°, I 24; d = 2.676 Å, 2θ = 33.5°, I 100; d = 2.444 Å, 2θ = 36.8°, I 53; d = 2.045 Å, 2θ = 44.3°, I 17; d = 1.936 Å, 2θ = 46.9°, I 24; d = 1.729 Å, 2θ = 53.0°, I 18; d = 1.605 Å, 2θ = 57.4°, I 13; d = 1.518 Å, 2θ = 61.1°, I 11; d = 1.452 Å, 2θ = 64.1°, I 30; d = 1.330 Å, 2θ = 70.8°, I 12; d = 1.093 Å, 2θ = 89.7°, I 17

```
GdTmMn
1.0
-1.729 1.729 6.341
1.729 -1.729 6.341
1.729 1.729 -6.341
Gd Tm Mn
1 1 1
Direct
0.000 0.000 0.000
0.271 0.271 0.000
0.638 0.638 0.000
```